Entry 1:
For LaPm2Nd2Mg, a structure optimized by DFT (PBE) gives the theoretical X-ray powder pattern in this record (Cu Kα).
Kinematic intensities with the Lorentz-polarization factor, no thermal factor.

Top 10 peaks for 2θ = 10–80°, low angle first:
2θ (°)	d/Å	intensity	index
26.12	3.411	100	0 1 1
27.39	3.256	57	1 5 0
28.90	3.090	91	2 1 0
29.34	3.044	65	0 3 1
31.58	2.833	91	1 6 0
32.71	2.737	62	1 3 1
35.05	2.560	96	1 4 1
39.93	2.258	65	2 2 1
41.37	2.182	49	2 3 1
52.75	1.735	71	0 0 2

Cell and atoms:
a = 6.2619 Å, b = 19.0580 Å, c = 3.4675 Å
α = 90.00°, β = 90.00°, γ = 90.00°
Atoms (fractional coordinates):
La  0.0000  0.0000  0.0000
La  0.5000  0.5000  0.5000
Pm  0.1689  0.3641  0.5000
Pm  0.3311  0.8641  0.0000
Pm  0.6689  0.1359  0.0000
Pm  0.8311  0.6359  0.5000
Nd  0.1678  0.2010  0.0000
Nd  0.3322  0.7010  0.5000
Nd  0.6678  0.2990  0.5000
Nd  0.8322  0.7990  0.0000
Mg  0.0000  0.5000  0.0000
Mg  0.5000  0.0000  0.5000

=====

Entry 2:
For Ba3ZnSi2, a structure optimized by DFT (PBE) gives the theoretical X-ray powder pattern in this record (Cu Kα).
Kinematic intensities with the Lorentz-polarization factor, no thermal factor.

Top 10 peaks for 2θ = 10–80°, low angle first:
2θ (°)	d/Å	intensity	index
23.63	3.765	100	2 0 0
25.64	3.474	21	1 1 2
26.23	3.397	36	1 3 0
27.86	3.202	22	0 1 3
29.04	3.075	66	1 2 2
33.75	2.656	19	1 0 -4
37.78	2.381	21	3 2 -2
43.22	2.093	14	3 3 0
43.55	2.078	11	1 5 -2
48.34	1.883	13	4 0 0

Cell and atoms:
a = 7.9877 Å, b = 11.4215 Å, c = 10.6223 Å
α = 90.00°, β = 109.59°, γ = 90.00°
Atoms (fractional coordinates):
Ba  0.2063  0.0241  0.3870
Ba  0.2063  0.4759  0.8870
Ba  0.2462  0.0630  0.9784
Ba  0.2462  0.4370  0.4784
Ba  0.2914  0.7243  0.1871
Ba  0.2914  0.7757  0.6871
Ba  0.7086  0.2243  0.3129
Ba  0.7086  0.2757  0.8129
Ba  0.7538  0.5630  0.5216
Ba  0.7538  0.9370  0.0216
Ba  0.7937  0.5241  0.1130
Ba  0.7937  0.9759  0.6130
Zn  0.2178  0.1797  0.6726
Zn  0.2178  0.3203  0.1726
Zn  0.7822  0.6797  0.8274
Zn  0.7822  0.8203  0.3274
Si  0.0334  0.7040  0.3781
Si  0.0334  0.7960  0.8781
Si  0.4491  0.0436  0.7259
Si  0.4491  0.4564  0.2259
Si  0.5509  0.5436  0.7741
Si  0.5509  0.9564  0.2741
Si  0.9666  0.2040  0.1219
Si  0.9666  0.2960  0.6219